No. 1
The following is a theoretical XRD peak list of CeCu5. It was derived from the PBE geometry in the Materials Project, using Cu Ka.
Kinematic intensities with the Lorentz-polarization factor, no thermal factor.

Top 10 peaks for 10 to 90 degrees two-theta, most intense first:
- 41.8°, rel. 100.0, hkl 1 1 1
- 29.8°, rel. 40.9, hkl 1 0 1
- 41.1°, rel. 33.8, hkl 2 0 0
- 35.4°, rel. 29.0, hkl 1 1 0
- 44.0°, rel. 28.0, hkl 0 0 2
- 68.0°, rel. 22.1, hkl 3 0 1
- 61.8°, rel. 19.3, hkl 2 0 2
- 74.9°, rel. 15.8, hkl 2 2 0
- 79.5°, rel. 13.9, hkl 1 1 3
- 57.7°, rel. 13.7, hkl 1 1 2

Cell and atoms:
```
data_CeCu5
_space_group_name_H-M_alt 'P 6/m m m'
_space_group_IT_number 191
_space_group_name_Hall '-P 6 2'
_cell_length_a 5.0724
_cell_length_b 5.0724
_cell_length_c 4.1135
_cell_angle_alpha 90.00
_cell_angle_beta 90.00
_cell_angle_gamma 120.00
loop_
_atom_site_label
_atom_site_fract_x
_atom_site_fract_y
_atom_site_fract_z
Ce1 0.0000 0.0000 0.0000
Cu1 0.0000 0.5000 0.5000
Cu2 0.3333 0.6667 0.0000
```

No. 2
The following is a theoretical XRD peak list of CeCu6. It was derived from the PBE geometry in the Materials Project, using Cu Ka.
Kinematic intensities with the Lorentz-polarization factor, no thermal factor.

Top 10 peaks for 10 to 90 degrees two-theta, most intense first:
- 39.3°, rel. 100.0, hkl 1 1 3
- 46.3°, rel. 69.1, hkl 0 5 1
- 38.8°, rel. 63.0, hkl 1 1 -3
- 37.3°, rel. 61.6, hkl 0 4 1
- 45.9°, rel. 53.7, hkl 0 1 4
- 39.0°, rel. 42.4, hkl 1 3 -2
- 35.7°, rel. 38.7, hkl 2 0 0
- 40.1°, rel. 31.3, hkl 2 2 0
- 32.0°, rel. 26.4, hkl 1 3 0
- 43.0°, rel. 25.7, hkl 2 1 -2

Cell and atoms:
```
data_CeCu6
_space_group_name_H-M_alt 'P 1 21/c 1'
_space_group_IT_number 14
_space_group_name_Hall '-P 2ybc'
_cell_length_a 5.027
_cell_length_b 10.104
_cell_length_c 8.065
_cell_angle_alpha 90.00
_cell_angle_beta 90.99
_cell_angle_gamma 90.00
loop_
_atom_site_label
_atom_site_fract_x
_atom_site_fract_y
_atom_site_fract_z
Ce1 0.243 0.065 0.241
Cu1 0.003 0.193 0.566
Cu2 0.250 0.516 0.100
Cu3 0.251 0.744 0.683
Cu4 0.252 0.143 0.854
Cu5 0.267 0.594 0.438
Cu6 0.493 0.190 0.563
```

No. 3
The following is a theoretical XRD peak list of Sr2CeEuCu2RuO10. It was derived from the PBE geometry in the Materials Project, using Cu Ka.
Kinematic intensities with the Lorentz-polarization factor, no thermal factor.

Top 10 peaks for 10 to 90 degrees two-theta, most intense first:
- 31.5°, rel. 100.0, hkl 1 1 3
- 32.5°, rel. 41.0, hkl 0 2 0
- 46.6°, rel. 29.2, hkl 2 2 -1
- 57.4°, rel. 27.8, hkl 1 3 3
- 24.6°, rel. 16.0, hkl 1 1 1
- 55.6°, rel. 15.2, hkl 0 2 7
- 65.9°, rel. 12.1, hkl 2 2 6
- 43.8°, rel. 11.1, hkl 0 0 7
- 45.4°, rel. 9.5, hkl 2 0 4
- 57.4°, rel. 8.8, hkl 3 1 -5

Cell and atoms:
```
data_Sr2CeEuCu2RuO10
_space_group_name_H-M_alt 'C 1 m 1'
_space_group_IT_number 8
_space_group_name_Hall 'C -2y'
_cell_length_a 5.508
_cell_length_b 5.516
_cell_length_c 14.729
_cell_angle_alpha 90.00
_cell_angle_beta 100.74
_cell_angle_gamma 90.00
loop_
_atom_site_label
_atom_site_fract_x
_atom_site_fract_y
_atom_site_fract_z
Sr1 0.000 0.000 0.000
Sr2 0.158 0.000 0.311
Ce1 0.282 0.000 0.571
Eu1 0.371 0.500 0.750
Cu1 0.220 0.500 0.445
Cu2 0.434 0.000 0.873
Ru1 0.102 0.500 0.159
O1 0.012 0.500 0.025
O2 0.072 0.250 0.653
O3 0.149 0.500 0.295
O4 0.179 0.250 0.863
O5 0.361 0.260 0.161
O6 0.477 0.250 0.458
```

No. 4
The following is a theoretical XRD peak list of Rb2CeCuF6. It was derived from the PBE geometry in the Materials Project, using Cu Ka.
Kinematic intensities with the Lorentz-polarization factor, no thermal factor.

Top 10 peaks for 10 to 90 degrees two-theta, most intense first:
- 27.6°, rel. 100.0, hkl 2 2 0
- 48.9°, rel. 41.7, hkl 4 2 2
- 39.5°, rel. 40.6, hkl 4 0 0
- 57.1°, rel. 25.5, hkl 4 4 0
- 78.4°, rel. 21.1, hkl 6 4 2
- 64.5°, rel. 18.2, hkl 6 2 0
- 16.8°, rel. 8.8, hkl 1 1 1
- 71.6°, rel. 8.2, hkl 4 4 4
- 19.4°, rel. 6.0, hkl 2 0 0
- 32.5°, rel. 5.5, hkl 3 1 1

Cell and atoms:
```
data_Rb2CeCuF6
_space_group_name_H-M_alt 'F m -3 m'
_space_group_IT_number 225
_space_group_name_Hall '-F 4 2 3'
_cell_length_a 9.131
_cell_length_b 9.131
_cell_length_c 9.131
_cell_angle_alpha 90.00
_cell_angle_beta 90.00
_cell_angle_gamma 90.00
loop_
_atom_site_label
_atom_site_fract_x
_atom_site_fract_y
_atom_site_fract_z
Rb1 0.250 0.250 0.250
Ce1 0.000 0.000 0.000
Cu1 0.000 0.000 0.500
F1 0.000 0.000 0.251
```

No. 5
The following is a theoretical XRD peak list of CeFeCu. It was derived from the PBE geometry in the Materials Project, using Cu Ka.
Kinematic intensities with the Lorentz-polarization factor, no thermal factor.

Top 10 peaks for 10 to 90 degrees two-theta, most intense first:
- 34.5°, rel. 100.0, hkl 1 1 2
- 42.4°, rel. 87.4, hkl 2 1 1
- 40.9°, rel. 74.9, hkl 1 2 1
- 40.2°, rel. 50.4, hkl 1 0 3
- 39.7°, rel. 40.4, hkl 0 1 3
- 72.8°, rel. 38.5, hkl 2 2 4
- 42.0°, rel. 30.5, hkl 0 2 2
- 34.3°, rel. 29.5, hkl 0 2 0
- 67.1°, rel. 21.4, hkl 2 3 1
- 61.6°, rel. 18.6, hkl 1 3 2

Cell and atoms:
```
data_CeFeCu
_space_group_name_H-M_alt 'I m m a'
_space_group_IT_number 74
_space_group_name_Hall '-I 2b 2'
_cell_length_a 4.907
_cell_length_b 5.222
_cell_length_c 7.570
_cell_angle_alpha 90.00
_cell_angle_beta 90.00
_cell_angle_gamma 90.00
loop_
_atom_site_label
_atom_site_fract_x
_atom_site_fract_y
_atom_site_fract_z
Ce1 0.000 0.250 0.133
Fe1 0.000 0.000 0.500
Cu1 0.250 0.250 0.750
```

No. 6
The following is a theoretical XRD peak list of CeGa3Cu. It was derived from the PBE geometry in the Materials Project, using Cu Ka.
Kinematic intensities with the Lorentz-polarization factor, no thermal factor.

Top 10 peaks for 10 to 90 degrees two-theta, most intense first:
- 36.8°, rel. 100.0, hkl 1 1 2
- 38.3°, rel. 73.6, hkl 1 0 5
- 42.2°, rel. 42.4, hkl 1 1 4
- 50.1°, rel. 42.0, hkl 2 0 0
- 25.1°, rel. 41.1, hkl 1 0 1
- 30.1°, rel. 39.0, hkl 1 0 3
- 35.1°, rel. 30.3, hkl 0 0 6
- 64.8°, rel. 30.2, hkl 2 1 5
- 62.6°, rel. 22.0, hkl 2 0 6
- 85.2°, rel. 16.7, hkl 3 1 2

Cell and atoms:
```
data_CeGa3Cu
_space_group_name_H-M_alt 'I 4 m m'
_space_group_IT_number 107
_space_group_name_Hall 'I 4 -2'
_cell_length_a 3.643
_cell_length_b 3.643
_cell_length_c 15.356
_cell_angle_alpha 90.00
_cell_angle_beta 90.00
_cell_angle_gamma 90.00
loop_
_atom_site_label
_atom_site_fract_x
_atom_site_fract_y
_atom_site_fract_z
Ce1 0.000 0.000 0.000
Ga1 0.000 0.000 0.810
Ga2 0.000 0.500 0.168
Cu1 0.000 0.000 0.385
```

No. 7
The following is a theoretical XRD peak list of CeGa3Cu. It was derived from the PBE geometry in the Materials Project, using Cu Ka.
Kinematic intensities with the Lorentz-polarization factor, no thermal factor.

Top 10 peaks for 10 to 90 degrees two-theta, most intense first:
- 34.6°, rel. 100.0, hkl 1 1 2
- 33.6°, rel. 67.4, hkl 1 0 3
- 42.6°, rel. 59.8, hkl 2 0 0
- 55.3°, rel. 32.0, hkl 2 1 3
- 49.2°, rel. 28.8, hkl 1 0 5
- 67.0°, rel. 22.3, hkl 2 1 5
- 72.8°, rel. 21.6, hkl 3 1 2
- 61.8°, rel. 19.2, hkl 2 2 0
- 29.7°, rel. 17.8, hkl 1 1 0
- 88.9°, rel. 13.5, hkl 2 0 8

Cell and atoms:
```
data_CeGa3Cu
_space_group_name_H-M_alt 'I -4 m 2'
_space_group_IT_number 119
_space_group_name_Hall 'I -4 -2'
_cell_length_a 4.248
_cell_length_b 4.248
_cell_length_c 10.293
_cell_angle_alpha 90.00
_cell_angle_beta 90.00
_cell_angle_gamma 90.00
loop_
_atom_site_label
_atom_site_fract_x
_atom_site_fract_y
_atom_site_fract_z
Ce1 0.000 0.000 0.000
Ga1 0.000 0.000 0.381
Ga2 0.000 0.500 0.250
Cu1 0.000 0.500 0.750
```

No. 8
The following is a theoretical XRD peak list of Ce2Ga3Cu. It was derived from the PBE geometry in the Materials Project, using Cu Ka.
Kinematic intensities with the Lorentz-polarization factor, no thermal factor.

Top 10 peaks for 10 to 90 degrees two-theta, most intense first:
- 33.6°, rel. 100.0, hkl 1 0 2
- 40.4°, rel. 57.7, hkl 1 1 0
- 53.6°, rel. 26.2, hkl 0 2 2
- 69.2°, rel. 23.9, hkl 2 1 2
- 65.8°, rel. 18.7, hkl 1 1 4
- 23.0°, rel. 13.9, hkl 1 0 0
- 73.6°, rel. 9.5, hkl 3 0 0
- 49.6°, rel. 7.5, hkl 0 0 4
- 43.7°, rel. 6.1, hkl 0 1 3
- 87.5°, rel. 6.1, hkl 2 2 0

Cell and atoms:
```
data_Ce2Ga3Cu
_space_group_name_H-M_alt 'P 3 m 1'
_space_group_IT_number 156
_space_group_name_Hall 'P 3 -2"'
_cell_length_a 4.4606
_cell_length_b 4.4606
_cell_length_c 7.3548
_cell_angle_alpha 90.00
_cell_angle_beta 90.00
_cell_angle_gamma 120.00
loop_
_atom_site_label
_atom_site_fract_x
_atom_site_fract_y
_atom_site_fract_z
Ce1 0.0000 0.0000 0.0000
Ce2 0.0000 0.0000 0.4726
Ga1 0.3333 0.6667 0.2255
Ga2 0.3333 0.6667 0.7699
Ga3 0.6667 0.3333 0.7006
Cu1 0.6667 0.3333 0.2674
```

No. 9
The following is a theoretical XRD peak list of Ce2Ga12Cu. It was derived from the PBE geometry in the Materials Project, using Cu Ka.
Kinematic intensities with the Lorentz-polarization factor, no thermal factor.

Top 10 peaks for 10 to 90 degrees two-theta, most intense first:
- 31.4°, rel. 100.0, hkl 2 0 2
- 41.6°, rel. 84.2, hkl 2 2 0
- 31.1°, rel. 56.5, hkl 1 1 4
- 41.0°, rel. 36.7, hkl 1 1 6
- 37.5°, rel. 31.0, hkl 2 0 4
- 52.8°, rel. 30.5, hkl 3 1 4
- 46.2°, rel. 23.3, hkl 2 0 6
- 68.8°, rel. 20.9, hkl 3 1 8
- 37.1°, rel. 15.5, hkl 2 1 3
- 60.2°, rel. 13.8, hkl 4 0 0

Cell and atoms:
```
data_Ce2Ga12Cu
_space_group_name_H-M_alt 'P 4/n b m'
_space_group_IT_number 125
_cell_length_a 6.147
_cell_length_b 6.147
_cell_length_c 15.325
_cell_angle_alpha 90.00
_cell_angle_beta 90.00
_cell_angle_gamma 90.00
loop_
_space_group_symop_operation_xyz
'x,y,z'
'-x,-y,-z'
'-y+1/2,x,z'
'y+1/2,-x,-z'
'-x+1/2,-y+1/2,z'
'x+1/2,y+1/2,-z'
'y,-x+1/2,z'
'-y,x+1/2,-z'
'x,-y+1/2,-z'
'-x,y+1/2,z'
'-y+1/2,-x+1/2,-z'
'y+1/2,x+1/2,z'
'-x+1/2,y,-z'
'x+1/2,-y,z'
'y,x,-z'
'-y,-x,z'
loop_
_atom_site_label
_atom_site_fract_x
_atom_site_fract_y
_atom_site_fract_z
Ce1 0.250 0.750 0.244
Ga1 0.000 0.000 0.086
Ga2 0.079 0.579 0.428
Ga3 0.250 0.250 0.181
Ga4 0.250 0.250 0.341
Cu1 0.250 0.750 0.000
```

No. 10
The following is a theoretical XRD peak list of Ce2Ga5Cu3. It was derived from the PBE geometry in the Materials Project, using Cu Ka.
Kinematic intensities with the Lorentz-polarization factor, no thermal factor.

Top 10 peaks for 10 to 90 degrees two-theta, most intense first:
- 34.8°, rel. 100.0, hkl 1 1 2
- 33.8°, rel. 73.1, hkl 1 0 3
- 42.8°, rel. 62.1, hkl 2 0 0
- 55.6°, rel. 34.7, hkl 2 1 3
- 49.6°, rel. 27.7, hkl 1 0 5
- 67.5°, rel. 21.5, hkl 2 1 5
- 73.2°, rel. 21.4, hkl 3 1 2
- 62.1°, rel. 19.8, hkl 2 2 0
- 29.9°, rel. 19.2, hkl 1 1 0
- 62.9°, rel. 14.3, hkl 1 1 6

Cell and atoms:
```
data_Ce2Ga5Cu3
_space_group_name_H-M_alt 'P -4 m 2'
_space_group_IT_number 115
_space_group_name_Hall 'P -4 -2'
_cell_length_a 4.226
_cell_length_b 4.226
_cell_length_c 10.209
_cell_angle_alpha 90.00
_cell_angle_beta 90.00
_cell_angle_gamma 90.00
loop_
_atom_site_label
_atom_site_fract_x
_atom_site_fract_y
_atom_site_fract_z
Ce1 0.000 0.500 0.246
Ga1 0.000 0.000 0.500
Ga2 0.000 0.500 0.635
Ga3 0.000 0.500 0.878
Cu1 0.000 0.000 0.000
Cu2 0.500 0.500 0.000
Cu3 0.500 0.500 0.500
```

No. 11
The following is a theoretical XRD peak list of CeCu2Ge2. It was derived from the PBE geometry in the Materials Project, using Cu Ka.
Kinematic intensities with the Lorentz-polarization factor, no thermal factor.

Top 10 peaks for 10 to 90 degrees two-theta, most intense first:
- 35.2°, rel. 100.0, hkl 1 1 2
- 34.0°, rel. 78.7, hkl 1 0 3
- 43.6°, rel. 62.6, hkl 2 0 0
- 56.4°, rel. 36.5, hkl 2 1 3
- 49.7°, rel. 30.2, hkl 1 0 5
- 68.2°, rel. 23.1, hkl 2 1 5
- 74.6°, rel. 22.8, hkl 3 1 2
- 30.4°, rel. 20.9, hkl 1 1 0
- 63.3°, rel. 19.8, hkl 2 2 0
- 63.1°, rel. 14.8, hkl 1 1 6

Cell and atoms:
```
data_CeCu2Ge2
_space_group_name_H-M_alt 'I 4/m m m'
_space_group_IT_number 139
_space_group_name_Hall '-I 4 2'
_cell_length_a 4.154
_cell_length_b 4.154
_cell_length_c 10.220
_cell_angle_alpha 90.00
_cell_angle_beta 90.00
_cell_angle_gamma 90.00
loop_
_atom_site_label
_atom_site_fract_x
_atom_site_fract_y
_atom_site_fract_z
Ce1 0.000 0.000 0.000
Cu1 0.000 0.500 0.250
Ge1 0.000 0.000 0.378
```

No. 12
The following is a theoretical XRD peak list of Ce2Cu3Ge3. It was derived from the PBE geometry in the Materials Project, using Cu Ka.
Kinematic intensities with the Lorentz-polarization factor, no thermal factor.

Top 10 peaks for 10 to 90 degrees two-theta, most intense first:
- 34.1°, rel. 100.0, hkl 1 1 3
- 33.7°, rel. 46.7, hkl 0 1 5
- 42.8°, rel. 30.5, hkl 0 2 0
- 43.5°, rel. 28.6, hkl 2 0 0
- 47.8°, rel. 21.5, hkl 1 0 8
- 56.1°, rel. 21.2, hkl 2 1 5
- 30.6°, rel. 20.2, hkl 1 1 1
- 38.2°, rel. 19.7, hkl 1 0 6
- 62.7°, rel. 19.0, hkl 2 2 0
- 66.0°, rel. 15.8, hkl 1 2 8

Cell and atoms:
```
data_Ce2Cu3Ge3
_space_group_name_H-M_alt 'A m m 2'
_space_group_IT_number 38
_space_group_name_Hall 'A 2 -2'
_cell_length_a 4.159
_cell_length_b 4.229
_cell_length_c 17.136
_cell_angle_alpha 90.00
_cell_angle_beta 90.00
_cell_angle_gamma 90.00
loop_
_atom_site_label
_atom_site_fract_x
_atom_site_fract_y
_atom_site_fract_z
Ce1 0.000 0.000 0.000
Ce2 0.500 0.000 0.212
Cu1 0.000 0.000 0.361
Cu2 0.000 0.000 0.784
Cu3 0.500 0.000 0.578
Ge1 0.000 0.000 0.644
Ge2 0.500 0.000 0.442
Ge3 0.500 0.000 0.854
```

No. 13
The following is a theoretical XRD peak list of Ce2CuGe6. It was derived from the PBE geometry in the Materials Project, using Cu Ka.
Kinematic intensities with the Lorentz-polarization factor, no thermal factor.

Top 10 peaks for 10 to 90 degrees two-theta, most intense first:
- 33.0°, rel. 100.0, hkl 1 1 3
- 43.3°, rel. 24.9, hkl 2 0 0
- 44.0°, rel. 23.7, hkl 0 2 0
- 32.8°, rel. 21.1, hkl 1 0 6
- 37.1°, rel. 18.8, hkl 1 1 5
- 43.7°, rel. 17.3, hkl 0 1 9
- 63.5°, rel. 15.6, hkl 2 2 0
- 42.5°, rel. 14.4, hkl 1 1 7
- 33.2°, rel. 13.0, hkl 0 0 8
- 55.6°, rel. 12.8, hkl 1 0 12

Cell and atoms:
```
data_Ce2CuGe6
_space_group_name_H-M_alt 'A m m 2'
_space_group_IT_number 38
_space_group_name_Hall 'A 2 -2'
_cell_length_a 4.178
_cell_length_b 4.113
_cell_length_c 21.593
_cell_angle_alpha 90.00
_cell_angle_beta 90.00
_cell_angle_gamma 90.00
loop_
_atom_site_label
_atom_site_fract_x
_atom_site_fract_y
_atom_site_fract_z
Ce1 0.000 0.000 0.000
Ce2 0.000 0.000 0.333
Cu1 0.500 0.000 0.556
Ge1 0.000 0.000 0.615
Ge2 0.000 0.000 0.730
Ge3 0.500 0.000 0.115
Ge4 0.500 0.000 0.231
Ge5 0.500 0.000 0.447
Ge6 0.500 0.000 0.876
```